Computed X-ray diffraction stick pattern
Compound: Tb7Sb4Te4
Radiation: Cu Kα
Structure: a crystal structure in Alexandria, relaxed with GGA-PBE
Lines closer than 0.1° are merged.

Cell and atoms:
a b c (Å): 15.2476 15.2476 8.0884
angles (deg): 90.00 90.00 90.00
Space group I4/mmm (No. 139)
Inequivalent atoms, fractional coordinates:
Tb 0.0000 0.0000 0.2408 [4 per cell]
Tb 0.0000 0.2829 0.0000 [8 per cell]
Tb 0.0000 0.3613 0.5000 [8 per cell]
Tb 0.2076 0.2076 0.5000 [8 per cell]
Sb 0.1477 0.3523 0.2500 [16 per cell]
Te 0.0000 0.1640 0.5000 [8 per cell]
Te 0.1220 0.1220 0.0000 [8 per cell]

The 12 most intense peaks (2θ from 10° to 90°), by angle:
hkl	two_theta	Rel. int.
3 1 0	18.40	18.0
0 0 2	21.98	23.3
2 2 2	27.57	14.7
3 1 2	28.81	49.0
5 0 1	31.35	100.0
4 0 2	32.27	13.0
3 3 2	33.35	28.4
4 2 2	34.40	52.8
6 0 0	35.32	25.9
0 0 4	44.85	60.4
7 3 0	45.29	17.4
6 0 4	58.33	17.3